No. 1
The following is a simulated PXRD pattern of TlRe4Se7. It was derived from a structure optimized by DFT (PBE), using λ = 1.5418 Å (Cu Kα).
Neutral-atom scattering factors, no anomalous dispersion.

Main lines, low angle first (2θ from 10° to 90°):
| 2θ (°) | Rel. int. | index |
| --- | --- | --- |
| 11.95 | 40.7 | 2 0 0 |
| 21.17 | 55.0 | 3 1 0 |
| 22.33 | 57.5 | 0 2 0 |
| 25.15 | 52.9 | 2 1 1 |
| 26.54 | 29.1 | 4 1 0 |
| 38.52 | 100.0 | 0 0 2 |
| 42.96 | 60.7 | 6 1 1 |
| 46.35 | 46.9 | 4 3 1 |

Structure:
Lattice parameters (Å, degrees): 14.814 7.963 4.674 90.00 90.00 90.00
Space group Pmn2_1 (No. 31)
Unique sites:
Tl 0.000 0.217 0.000 [2 per cell]
Re 0.145 0.752 0.496 [4 per cell]
Re 0.238 0.776 0.996 [4 per cell]
Se 0.000 0.910 0.497 [2 per cell]
Se 0.102 0.627 0.996 [4 per cell]
Se 0.140 0.422 0.497 [4 per cell]
Se 0.208 0.101 0.996 [4 per cell]



No. 2
The following is a simulated PXRD pattern of CaPm2Zn8. It was derived from a structure optimized by DFT (PBE), using λ = 1.5418 Å (Cu Kα).
Neutral-atom scattering factors, no anomalous dispersion.

Main lines, low angle first (2θ from 10° to 90°):
| 2θ (°) | Rel. int. | index |
| --- | --- | --- |
| 14.19 | 21.1 | 0 1 1 |
| 33.44 | 79.6 | 1 2 1 |
| 34.34 | 100.0 | 1 1 4 |
| 36.94 | 21.8 | 0 0 6 |
| 37.83 | 42.6 | 1 2 3 |
| 40.61 | 44.9 | 2 0 0 |
| 43.50 | 32.7 | 0 3 3 |
| 61.01 | 23.1 | 2 3 3 |

Structure:
Lattice parameters (Å, degrees): 4.443 6.904 14.602 90.00 90.00 90.00
Space group Immm (No. 71)
Unique sites:
Ca 0.000 0.000 0.000 [2 per cell]
Pm 0.000 0.500 0.136 [4 per cell]
Zn 0.000 0.000 0.216 [4 per cell]
Zn 0.000 0.182 0.500 [4 per cell]
Zn 0.000 0.313 0.335 [8 per cell]